1.
Diffraction record for CaSn4Pt2. The powder X-ray diffraction pattern is calculated, not measured: it uses DFT lattice parameters and positions (GGA-PBE) and λ = 1.5418 Å (Cu Kα).
No peak broadening, texture or thermal motion is included.

Top 10 peaks for 5 to 70 degrees two-theta, sorted by position:
2θ 18.4, rel. 29; 2θ 18.8, rel. 35; 2θ 23.6, rel. 35; 2θ 32.5, rel. 100; 2θ 33.2, rel. 61; 2θ 35.3, rel. 28; 2θ 40.2, rel. 64; 2θ 42.4, rel. 52; 2θ 42.5, rel. 79; 2θ 43.2, rel. 30

```
data_CaSn4Pt2
_symmetry_space_group_name_H-M 'P n m a'
_symmetry_Int_Tables_number 62
_symmetry_space_group_name_Hall '-P 2ac 2n'
_cell_length_a 18.924
_cell_length_b 4.487
_cell_length_c 7.520
_cell_angle_alpha 90.00
_cell_angle_beta 90.00
_cell_angle_gamma 90.00
loop_
_atom_site_label
_atom_site_fract_x
_atom_site_fract_y
_atom_site_fract_z
Ca1 0.143 0.250 0.030
Sn1 0.034 0.750 0.866
Sn2 0.067 0.250 0.486
Sn3 0.183 0.750 0.323
Sn4 0.193 0.750 0.746
Pt1 0.038 0.750 0.240
Pt2 0.215 0.250 0.539
```


2.
Diffraction record for Ca3Sn2Pt2. The powder X-ray diffraction pattern is calculated, not measured: it uses DFT lattice parameters and positions (GGA-PBE) and λ = 1.5418 Å (Cu Kα).
No peak broadening, texture or thermal motion is included.

Top 10 peaks for 5 to 70 degrees two-theta, sorted by position:
2θ 12.7, rel. 25; 2θ 15.1, rel. 46; 2θ 19.4, rel. 60; 2θ 19.7, rel. 40; 2θ 32.4, rel. 34; 2θ 33.2, rel. 31; 2θ 35.3, rel. 46; 2θ 36.7, rel. 28; 2θ 37.7, rel. 100; 2θ 44.4, rel. 24

```
data_Ca3Sn2Pt2
_symmetry_space_group_name_H-M 'P b c m'
_symmetry_Int_Tables_number 57
_symmetry_space_group_name_Hall '-P 2c 2b'
_cell_length_a 5.880
_cell_length_b 8.466
_cell_length_c 13.983
_cell_angle_alpha 90.00
_cell_angle_beta 90.00
_cell_angle_gamma 90.00
loop_
_atom_site_label
_atom_site_fract_x
_atom_site_fract_y
_atom_site_fract_z
Ca1 0.131 0.249 0.250
Ca2 0.346 0.608 0.097
Sn1 0.162 0.250 0.000
Sn2 0.369 0.596 0.750
Pt1 0.123 0.540 0.591
```


3.
Diffraction record for CaSn4Pt4. The powder X-ray diffraction pattern is calculated, not measured: it uses DFT lattice parameters and positions (GGA-PBE) and λ = 1.5418 Å (Cu Kα).
No peak broadening, texture or thermal motion is included.

Top 10 peaks for 5 to 70 degrees two-theta, sorted by position:
2θ 16.5, rel. 65; 2θ 20.7, rel. 43; 2θ 30.7, rel. 82; 2θ 33.9, rel. 52; 2θ 36.8, rel. 100; 2θ 41.0, rel. 28; 2θ 42.6, rel. 28; 2θ 43.1, rel. 71; 2θ 50.9, rel. 53; 2θ 53.0, rel. 35

```
data_CaSn4Pt4
_symmetry_space_group_name_H-M 'P 42/n m c'
_symmetry_Int_Tables_number 137
_cell_length_a 6.911
_cell_length_b 6.911
_cell_length_c 8.580
_cell_angle_alpha 90.00
_cell_angle_beta 90.00
_cell_angle_gamma 90.00
loop_
_symmetry_equiv_pos_as_xyz
'x,y,z'
'-x,-y,-z'
'-y+1/2,x,z+1/2'
'y+1/2,-x,-z+1/2'
'-x+1/2,-y+1/2,z'
'x+1/2,y+1/2,-z'
'y,-x+1/2,z+1/2'
'-y,x+1/2,-z+1/2'
'x+1/2,-y,-z'
'-x+1/2,y,z'
'-y,-x,-z+1/2'
'y,x,z+1/2'
'-x,y+1/2,-z'
'x,-y+1/2,z'
'y+1/2,x+1/2,-z+1/2'
'-y+1/2,-x+1/2,z+1/2'
loop_
_atom_site_label
_atom_site_fract_x
_atom_site_fract_y
_atom_site_fract_z
Ca1 0.250 0.750 0.250
Sn1 0.003 0.250 0.117
Pt1 0.044 0.250 0.430
```


4.
Diffraction record for CaSn2Pt. The powder X-ray diffraction pattern is calculated, not measured: it uses DFT lattice parameters and positions (GGA-PBE) and λ = 1.5418 Å (Cu Kα).
No peak broadening, texture or thermal motion is included.

Top 10 peaks for 5 to 70 degrees two-theta, sorted by position:
2θ 13.4, rel. 27; 2θ 18.6, rel. 100; 2θ 30.6, rel. 28; 2θ 32.2, rel. 34; 2θ 33.8, rel. 52; 2θ 37.0, rel. 81; 2θ 37.7, rel. 33; 2θ 38.6, rel. 28; 2θ 44.8, rel. 24; 2θ 45.8, rel. 24

```
data_CaSn2Pt
_symmetry_space_group_name_H-M 'C 1 2/c 1'
_symmetry_Int_Tables_number 15
_symmetry_space_group_name_Hall '-C 2yc'
_cell_length_a 5.793
_cell_length_b 13.211
_cell_length_c 5.830
_cell_angle_alpha 90.00
_cell_angle_beta 117.93
_cell_angle_gamma 90.00
loop_
_atom_site_label
_atom_site_fract_x
_atom_site_fract_y
_atom_site_fract_z
Ca1 0.000 0.100 0.250
Sn1 0.193 0.341 0.123
Pt1 0.000 0.484 0.750
```


5.
Diffraction record for Ca2Sn5Pt3. The powder X-ray diffraction pattern is calculated, not measured: it uses DFT lattice parameters and positions (GGA-PBE) and λ = 1.5418 Å (Cu Kα).
No peak broadening, texture or thermal motion is included.

Top 10 peaks for 5 to 70 degrees two-theta, sorted by position:
2θ 17.8, rel. 32; 2θ 19.9, rel. 32; 2θ 23.3, rel. 34; 2θ 32.7, rel. 100; 2θ 33.0, rel. 55; 2θ 36.2, rel. 32; 2θ 39.9, rel. 66; 2θ 42.2, rel. 49; 2θ 43.8, rel. 89; 2θ 62.1, rel. 21

```
data_Ca2Sn5Pt3
_symmetry_space_group_name_H-M 'P n m a'
_symmetry_Int_Tables_number 62
_symmetry_space_group_name_Hall '-P 2ac 2n'
_cell_length_a 7.438
_cell_length_b 4.524
_cell_length_c 26.746
_cell_angle_alpha 90.00
_cell_angle_beta 90.00
_cell_angle_gamma 90.00
loop_
_atom_site_label
_atom_site_fract_x
_atom_site_fract_y
_atom_site_fract_z
Ca1 0.215 0.250 0.227
Ca2 0.247 0.250 0.922
Sn1 0.036 0.750 0.543
Sn2 0.040 0.250 0.043
Sn3 0.090 0.250 0.347
Sn4 0.121 0.250 0.798
Sn5 0.211 0.750 0.132
Pt1 0.001 0.750 0.300
Pt2 0.041 0.750 0.857
Pt3 0.243 0.250 0.528
```


6.
Diffraction record for CaTbPt6. The powder X-ray diffraction pattern is calculated, not measured: it uses DFT lattice parameters and positions (GGA-PBE) and λ = 1.5418 Å (Cu Kα).
No peak broadening, texture or thermal motion is included.

Top 10 peaks for 5 to 70 degrees two-theta, sorted by position:
2θ 16.8, rel. 4; 2θ 23.8, rel. 9; 2θ 29.2, rel. 2; 2θ 33.9, rel. 19; 2θ 38.0, rel. 100; 2θ 41.8, rel. 43; 2θ 54.9, rel. 2; 2θ 60.6, rel. 13; 2θ 63.4, rel. 23; 2θ 66.1, rel. 22

```
data_CaTbPt6
_symmetry_space_group_name_H-M 'P m -3'
_symmetry_Int_Tables_number 200
_symmetry_space_group_name_Hall '-P 2 2 3'
_cell_length_a 5.291
_cell_length_b 5.291
_cell_length_c 5.291
_cell_angle_alpha 90.00
_cell_angle_beta 90.00
_cell_angle_gamma 90.00
loop_
_atom_site_label
_atom_site_fract_x
_atom_site_fract_y
_atom_site_fract_z
Ca1 0.000 0.000 0.000
Tb1 0.500 0.500 0.500
Pt1 0.000 0.250 0.500
```


7.
Diffraction record for Ca2TbPt2. The powder X-ray diffraction pattern is calculated, not measured: it uses DFT lattice parameters and positions (GGA-PBE) and λ = 1.5418 Å (Cu Kα).
No peak broadening, texture or thermal motion is included.

Top 10 peaks for 5 to 70 degrees two-theta, sorted by position:
2θ 8.4, rel. 35; 2θ 15.2, rel. 10; 2θ 19.9, rel. 21; 2θ 24.8, rel. 13; 2θ 25.5, rel. 6; 2θ 36.4, rel. 100; 2θ 41.8, rel. 6; 2θ 52.5, rel. 7; 2θ 65.4, rel. 22; 2θ 65.5, rel. 13

```
data_Ca2TbPt2
_symmetry_space_group_name_H-M 'P b c m'
_symmetry_Int_Tables_number 57
_symmetry_space_group_name_Hall '-P 2c 2b'
_cell_length_a 10.501
_cell_length_b 6.986
_cell_length_c 6.974
_cell_angle_alpha 90.00
_cell_angle_beta 90.00
_cell_angle_gamma 90.00
loop_
_atom_site_label
_atom_site_fract_x
_atom_site_fract_y
_atom_site_fract_z
Ca1 0.000 0.250 0.000
Ca2 0.330 0.250 0.000
Tb1 0.342 0.750 0.000
Pt1 0.174 0.520 0.250
Pt2 0.494 0.507 0.750
```


8.
Diffraction record for Ca2TcPt2. The powder X-ray diffraction pattern is calculated, not measured: it uses DFT lattice parameters and positions (GGA-PBE) and λ = 1.5418 Å (Cu Kα).
No peak broadening, texture or thermal motion is included.

Top 10 peaks for 5 to 70 degrees two-theta, sorted by position:
2θ 19.2, rel. 74; 2θ 29.6, rel. 34; 2θ 35.5, rel. 100; 2θ 39.0, rel. 26; 2θ 42.4, rel. 31; 2θ 46.9, rel. 29; 2θ 49.7, rel. 17; 2θ 58.9, rel. 23; 2θ 60.0, rel. 9; 2θ 68.3, rel. 15

```
data_Ca2TcPt2
_symmetry_space_group_name_H-M 'P 4/m b m'
_symmetry_Int_Tables_number 127
_symmetry_space_group_name_Hall '-P 4 2ab'
_cell_length_a 6.748
_cell_length_b 6.748
_cell_length_c 4.625
_cell_angle_alpha 90.00
_cell_angle_beta 90.00
_cell_angle_gamma 90.00
loop_
_atom_site_label
_atom_site_fract_x
_atom_site_fract_y
_atom_site_fract_z
Ca1 0.176 0.324 0.000
Tc1 0.000 0.000 0.500
Pt1 0.139 0.639 0.500
```


Question: Which formula does entry 7 have?
Answer: Ca2TbPt2